# K2LiH2Se2O6
Theoretical PXRD pattern, CuKα. Input: DFT lattice parameters and positions (GGA-PBE).

Cell and atoms:
abc: 5.460 6.204 7.461
angles: 72.45 71.36 85.32
Space group P1 (No. 1)
Inequivalent atoms, fractional coordinates:
K (0.000, 0.000, 0.000) x1
K (0.403, 0.658, 0.280) x1
Li (0.995, 0.295, 0.417) x1
H (0.456, 0.219, 0.110) x1
H (0.923, 0.527, 0.123) x1
Se (0.508, 0.044, 0.526) x1
Se (0.649, 0.456, 0.778) x1
O (0.360, 0.194, 0.355) x1
O (0.500, 0.188, 0.978) x1
O (0.690, 0.617, 0.910) x1
O (0.825, 0.030, 0.399) x1
O (0.941, 0.349, 0.681) x1
O (0.948, 0.570, 0.232) x1

Largest 8 diffraction maxima, most intense first, 10 to 90 degrees two-theta:
Position (°2θ)  I (rel.)
26.28  1000
25.76  909
21.13  848
17.14  807
24.70  698
26.71  646
22.67  641
34.18  520

# K2LiH2Se2O6
Theoretical PXRD pattern, CuKα. Input: DFT lattice parameters and positions (GGA-PBE).

Cell and atoms:
abc: 5.534 6.130 7.142
angles: 102.88 111.04 90.07
Space group P-1 (No. 2)
Inequivalent atoms, fractional coordinates:
K (0.155, 0.021, 0.282) x2
Li (0.000, 0.500, 0.000) x1
H (0.332, 0.205, 0.928) x2
Se (0.331, 0.620, 0.682) x2
O (0.064, 0.580, 0.739) x2
O (0.258, 0.268, 0.032) x2
O (0.318, 0.882, 0.636) x2

Largest 8 diffraction maxima, most intense first, 10 to 90 degrees two-theta:
Position (°2θ)  I (rel.)
17.66  1000
24.27  984
32.34  775
27.98  482
22.58  399
33.42  391
27.56  380
29.89  311

# K2MgH4
Theoretical PXRD pattern, CuKα. Input: DFT lattice parameters and positions (GGA-PBE).

Cell and atoms:
abc: 4.039 4.039 13.685
angles: 90.00 90.00 90.00
Space group I4/mmm (No. 139)
Inequivalent atoms, fractional coordinates:
K (0.000, 0.000, 0.144) x4
Mg (0.000, 0.000, 0.500) x2
H (0.000, 0.000, 0.353) x4
H (0.000, 0.500, 0.000) x4

Largest 8 diffraction maxima, most intense first, 10 to 90 degrees two-theta:
Position (°2θ)  I (rel.)
29.54  1000
31.32  521
54.65  306
44.88  190
51.26  121
22.96  111
41.17  102
26.04  83

# KMgH3
Theoretical PXRD pattern, CuKα. Input: DFT lattice parameters and positions (GGA-PBE).

Cell and atoms:
abc: 4.024 4.024 4.024
angles: 90.00 90.00 90.00
Space group Pm-3m (No. 221)
Inequivalent atoms, fractional coordinates:
K (0.000, 0.000, 0.000) x1
Mg (0.500, 0.500, 0.500) x1
H (0.000, 0.500, 0.500) x3

Largest 8 diffraction maxima, most intense first, 10 to 90 degrees two-theta:
Position (°2θ)  I (rel.)
31.44  1000
55.98  341
45.06  196
74.59  135
65.63  110
22.09  57
83.17  35
38.76  29

# K2MgH8N4
Theoretical PXRD pattern, CuKα. Input: DFT lattice parameters and positions (GGA-PBE).

Cell and atoms:
abc: 7.493 7.229 13.630
angles: 90.00 104.42 90.00
Space group P2_1/c (No. 14)
Inequivalent atoms, fractional coordinates:
K (0.073, 0.126, 0.391) x4
K (0.414, 0.647, 0.102) x4
Mg (0.206, 0.213, 0.152) x4
H (0.083, 0.627, 0.491) x4
H (0.155, 0.623, 0.750) x4
H (0.162, 0.722, 0.404) x4
H (0.167, 0.022, 0.791) x4
H (0.367, 0.606, 0.748) x4
H (0.372, 0.128, 0.011) x4
H (0.379, 0.012, 0.790) x4
H (0.485, 0.745, 0.405) x4
N (0.062, 0.740, 0.443) x4
N (0.246, 0.532, 0.733) x4
N (0.254, 0.056, 0.746) x4
N (0.380, 0.248, 0.052) x4

Largest 8 diffraction maxima, most intense first, 10 to 90 degrees two-theta:
Position (°2θ)  I (rel.)
32.05  1000
30.94  859
13.97  823
31.79  645
34.48  608
30.38  420
29.79  409
34.18  399

# K2MgP4H8O16
Theoretical PXRD pattern, CuKα. Input: DFT lattice parameters and positions (GGA-PBE).

Cell and atoms:
abc: 6.941 7.481 7.630
angles: 81.65 73.56 83.59
Space group P-1 (No. 2)
Inequivalent atoms, fractional coordinates:
K (0.115, 0.237, 0.293) x2
Mg (0.500, 0.000, 0.500) x1
P (0.254, 0.315, 0.756) x2
P (0.322, 0.770, 0.246) x2
H (0.048, 0.767, 0.079) x2
H (0.248, 0.548, 0.472) x2
H (0.374, 0.823, 0.858) x2
H (0.391, 0.687, 0.712) x2
O (0.076, 0.291, 0.936) x2
O (0.232, 0.583, 0.339) x2
O (0.234, 0.841, 0.087) x2
O (0.256, 0.512, 0.668) x2
O (0.266, 0.177, 0.627) x2
O (0.300, 0.895, 0.391) x2
O (0.440, 0.277, 0.850) x2
O (0.448, 0.797, 0.731) x2

Largest 8 diffraction maxima, most intense first, 10 to 90 degrees two-theta:
Position (°2θ)  I (rel.)
24.12  1000
24.51  742
18.13  643
23.99  524
27.50  472
16.07  456
30.33  428
35.32  409